Theoretical powder X-ray diffraction pattern
Compound: Li4Cr2TeWO12
Radiation: Cu Ka
Structure: DFT lattice parameters and positions (PBE+U)
No peak broadening, texture or thermal motion is included.

Most intense lines, 10 to 90 degrees two-theta, low angle first:
- 2θ 21.17, rel. 28
- 2θ 24.14, rel. 100
- 2θ 33.61, rel. 37
- 2θ 35.16, rel. 24
- 2θ 40.72, rel. 11
- 2θ 43.10, rel. 12
- 2θ 49.48, rel. 12
- 2θ 54.62, rel. 13
- 2θ 54.74, rel. 13
- 2θ 56.78, rel. 13

Structure:
```
data_Li4Cr2TeWO12
_chemical_formula_sum 'Li4 Cr2 Te1 W1 O12'
_cell_length_a 5.103
_cell_length_b 5.347
_cell_length_c 7.386
_cell_angle_alpha 86.43
_cell_angle_beta 89.92
_cell_angle_gamma 89.83
_symmetry_space_group_name_H-M 'P 1'
_symmetry_Int_Tables_number 1
loop_
_symmetry_equiv_pos_as_xyz
'x,y,z'
loop_
_atom_site_label
_atom_site_type_symbol
_atom_site_fract_x
_atom_site_fract_y
_atom_site_fract_z
_atom_site_occupancy
Li1 Li 0.000 0.000 0.000 1
Li2 Li 0.005 0.998 0.495 1
Li3 Li 0.495 0.494 0.997 1
Li4 Li 0.501 0.511 0.500 1
Cr1 Cr 0.501 0.065 0.776 1
Cr2 Cr 0.996 0.557 0.282 1
Te1 Te 0.000 0.566 0.782 1
W1 W 0.496 0.063 0.276 1
O1 O 0.126 0.586 0.534 1
O2 O 0.185 0.883 0.232 1
O3 O 0.197 0.265 0.854 1
O4 O 0.299 0.764 0.854 1
O5 O 0.313 0.382 0.232 1
O6 O 0.390 0.077 0.535 1
O7 O 0.615 0.080 0.032 1
O8 O 0.684 0.392 0.724 1
O9 O 0.697 0.769 0.344 1
O10 O 0.810 0.267 0.342 1
O11 O 0.816 0.888 0.724 1
O12 O 0.871 0.584 0.031 1
```